No. 1
Starting from a DFT-relaxed cell (GGA-PBE, Alexandria), the PXRD pattern of Sm3Y2Ho6Pu was computed for Cu Kα (λ = 1.5418 Å).

Atomic structure:
Lattice parameters (Å, degrees): 7.9370 7.9370 10.0260 90.00 90.00 143.15
Fractional coordinates of all 12 atoms:
Sm1 0.0000 0.0000 0.0000
Sm2 0.3330 0.6670 0.0000
Sm3 0.6670 0.3330 0.0000
Y1 0.3356 0.6644 0.5000
Y2 0.6644 0.3356 0.5000
Ho1 0.1647 0.8353 0.2537
Ho2 0.1647 0.8353 0.7463
Ho3 0.5000 0.5000 0.2548
Ho4 0.5000 0.5000 0.7452
Ho5 0.8353 0.1647 0.2537
Ho6 0.8353 0.1647 0.7463
Pu1 0.0000 0.0000 0.5000

The 10 most intense peaks (2θ from 10° to 90°), by angle:
- d = 2.896 Å, 2θ 30.87, I = 100
- d = 2.508 Å, 2θ 35.80, I = 51
- d = 1.774 Å, 2θ 51.52, I = 36
- d = 1.513 Å, 2θ 61.28, I = 43
- d = 1.448 Å, 2θ 64.33, I = 12
- d = 1.255 Å, 2θ 75.82, I = 4
- d = 1.253 Å, 2θ 75.93, I = 2
- d = 1.151 Å, 2θ 84.11, I = 18
- d = 1.122 Å, 2θ 86.79, I = 11
- d = 1.121 Å, 2θ 86.88, I = 5


No. 2
Starting from a DFT-relaxed cell (GGA-PBE, Alexandria), the PXRD pattern of Tb8Ho4Pu was computed for Cu Kα (λ = 1.5418 Å).

Atomic structure:
Lattice parameters (Å, degrees): 7.7117 7.7117 7.7117 90.10 90.10 90.10
Fractional coordinates of all 13 atoms:
Tb1 0.2443 0.2443 0.2443
Tb2 0.2440 0.2440 0.7550
Tb3 0.2440 0.7550 0.2440
Tb4 0.2450 0.7560 0.7560
Tb5 0.7550 0.2440 0.2440
Tb6 0.7560 0.2450 0.7560
Tb7 0.7560 0.7560 0.2450
Tb8 0.7557 0.7557 0.7557
Ho1 0.0000 0.0000 0.0000
Ho2 0.0000 0.5000 0.5000
Ho3 0.5000 0.0000 0.5000
Ho4 0.5000 0.5000 0.0000
Pu1 0.5000 0.5000 0.5000

The 10 most intense peaks (2θ from 10° to 90°), by angle:
- d = 5.453 Å, 2θ 16.25, I = 6
- d = 4.452 Å, 2θ 19.94, I = 9
- d = 3.449 Å, 2θ 25.83, I = 6
- d = 2.726 Å, 2θ 32.85, I = 100
- d = 1.928 Å, 2θ 47.14, I = 18
- d = 1.575 Å, 2θ 58.62, I = 29
- d = 1.572 Å, 2θ 58.74, I = 9
- d = 1.364 Å, 2θ 68.81, I = 6
- d = 1.362 Å, 2θ 68.94, I = 6
- d = 1.219 Å, 2θ 78.43, I = 16


No. 3
Starting from a DFT-relaxed cell (GGA-PBE, Alexandria), the PXRD pattern of Tb4Ho3Pu was computed for Cu Kα (λ = 1.5418 Å).

Atomic structure:
Lattice parameters (Å, degrees): 4.9632 10.0010 9.9666 90.00 90.00 90.00
Fractional coordinates of all 16 atoms:
Tb1 0.2500 0.0018 0.1288
Tb2 0.2500 0.2500 0.8740
Tb3 0.2500 0.4982 0.1288
Tb4 0.2500 0.7500 0.8719
Tb5 0.7500 0.2500 0.1281
Tb6 0.7500 0.5018 0.8712
Tb7 0.7500 0.7500 0.1260
Tb8 0.7500 0.9982 0.8712
Ho1 0.2500 0.9996 0.6217
Ho2 0.2500 0.5004 0.6217
Ho3 0.2500 0.7500 0.3800
Ho4 0.7500 0.0004 0.3783
Ho5 0.7500 0.2500 0.6200
Ho6 0.7500 0.4996 0.3783
Pu1 0.2500 0.2500 0.3741
Pu2 0.7500 0.7500 0.6259

The 10 most intense peaks (2θ from 10° to 90°), by angle:
- d = 2.877 Å, 2θ 31.09, I = 100
- d = 2.500 Å, 2θ 35.92, I = 17
- d = 2.492 Å, 2θ 36.05, I = 17
- d = 2.482 Å, 2θ 36.20, I = 17
- d = 1.765 Å, 2θ 51.80, I = 12
- d = 1.760 Å, 2θ 51.96, I = 24
- d = 1.506 Å, 2θ 61.57, I = 14
- d = 1.502 Å, 2θ 61.74, I = 14
- d = 1.498 Å, 2θ 61.94, I = 14
- d = 1.438 Å, 2θ 64.83, I = 12


No. 4
Starting from a DFT-relaxed cell (GGA-PBE, Alexandria), the PXRD pattern of Tb4Ho6Pu was computed for Cu Kα (λ = 1.5418 Å).

Atomic structure:
Lattice parameters (Å, degrees): 11.6910 11.6910 17.2329 90.00 90.00 162.73
Fractional coordinates of all 22 atoms:
Tb1 0.1188 0.8812 0.6402
Tb2 0.1188 0.8812 0.8598
Tb3 0.3700 0.6300 0.5513
Tb4 0.3700 0.6300 0.9487
Tb5 0.6300 0.3700 0.0513
Tb6 0.6300 0.3700 0.4487
Tb7 0.8812 0.1188 0.1402
Tb8 0.8812 0.1188 0.3598
Ho1 0.0000 0.0000 0.0000
Ho2 0.0000 0.0000 0.5000
Ho3 0.2540 0.7460 0.7500
Ho4 0.2589 0.7411 0.0825
Ho5 0.2589 0.7411 0.4175
Ho6 0.4902 0.5098 0.6604
Ho7 0.4902 0.5098 0.8396
Ho8 0.5098 0.4902 0.1604
Ho9 0.5098 0.4902 0.3396
Ho10 0.7411 0.2589 0.5825
Ho11 0.7411 0.2589 0.9175
Ho12 0.7460 0.2540 0.2500
Pu1 0.1219 0.8781 0.2500
Pu2 0.8781 0.1219 0.7500

The 10 most intense peaks (2θ from 10° to 90°), by angle:
- d = 3.303 Å, 2θ 27.00, I = 48
- d = 2.996 Å, 2θ 29.83, I = 58
- d = 2.890 Å, 2θ 30.95, I = 80
- d = 2.793 Å, 2θ 32.05, I = 100
- d = 2.787 Å, 2θ 32.11, I = 46
- d = 2.660 Å, 2θ 33.70, I = 36
- d = 2.568 Å, 2θ 34.94, I = 53
- d = 2.514 Å, 2θ 35.71, I = 60
- d = 2.303 Å, 2θ 39.12, I = 23
- d = 1.721 Å, 2θ 53.22, I = 24


No. 5
Starting from a DFT-relaxed cell (GGA-PBE, Alexandria), the PXRD pattern of Tb3Ho4Pu was computed for Cu Kα (λ = 1.5418 Å).

Atomic structure:
Lattice parameters (Å, degrees): 11.2613 7.1538 6.1736 90.00 90.00 90.00
Fractional coordinates of all 16 atoms:
Tb1 0.0000 0.1206 0.0000
Tb2 0.2497 0.1244 0.6700
Tb3 0.2503 0.8756 0.1700
Tb4 0.5000 0.8794 0.5000
Tb5 0.7503 0.1244 0.6700
Tb6 0.7497 0.8756 0.1700
Ho1 0.0000 0.3760 0.5016
Ho2 0.0000 0.6268 0.0023
Ho3 0.2477 0.6271 0.6630
Ho4 0.2523 0.3729 0.1630
Ho5 0.5000 0.3732 0.5023
Ho6 0.5000 0.6240 0.0016
Ho7 0.7477 0.3729 0.1630
Ho8 0.7523 0.6271 0.6630
Pu1 0.0000 0.8745 0.5028
Pu2 0.5000 0.1255 0.0028

The 10 most intense peaks (2θ from 10° to 90°), by angle:
- d = 3.092 Å, 2θ 28.87, I = 24
- d = 2.815 Å, 2θ 31.78, I = 25
- d = 2.710 Å, 2θ 33.05, I = 100
- d = 2.082 Å, 2θ 43.47, I = 16
- d = 1.788 Å, 2θ 51.07, I = 7
- d = 1.784 Å, 2θ 51.21, I = 13
- d = 1.604 Å, 2θ 57.43, I = 21
- d = 1.510 Å, 2θ 61.42, I = 8
- d = 1.507 Å, 2θ 61.55, I = 15
- d = 1.492 Å, 2θ 62.22, I = 11


No. 6
Starting from a DFT-relaxed cell (GGA-PBE, Alexandria), the PXRD pattern of TbHo3Pu2Te6 was computed for Cu Kα (λ = 1.5418 Å).

Atomic structure:
Lattice parameters (Å, degrees): 9.7907 9.7907 8.7813 103.38 103.38 25.68
Fractional coordinates of all 12 atoms:
Tb1 0.0000 0.0000 0.0000
Ho1 0.0000 0.0000 0.5000
Ho2 0.3325 0.3325 0.1659
Ho3 0.6675 0.6675 0.8341
Pu1 0.3341 0.3341 0.6672
Pu2 0.6659 0.6659 0.3328
Te1 0.1655 0.1655 0.5869
Te2 0.1668 0.1668 0.0790
Te3 0.4977 0.4977 0.2511
Te4 0.5023 0.5023 0.7489
Te5 0.8332 0.8332 0.9210
Te6 0.8345 0.8345 0.4131

The 10 most intense peaks (2θ from 10° to 90°), by angle:
- d = 3.091 Å, 2θ 28.89, I = 100
- d = 2.193 Å, 2θ 41.17, I = 39
- d = 2.179 Å, 2θ 41.45, I = 38
- d = 1.796 Å, 2θ 50.83, I = 7
- d = 1.783 Å, 2θ 51.22, I = 7
- d = 1.779 Å, 2θ 51.35, I = 14
- d = 1.545 Å, 2θ 59.84, I = 13
- d = 1.385 Å, 2θ 67.63, I = 12
- d = 1.379 Å, 2θ 67.96, I = 12
- d = 1.260 Å, 2θ 75.47, I = 11


No. 7
Starting from a DFT-relaxed cell (GGA-PBE, Alexandria), the PXRD pattern of HoPu2Te4 was computed for Cu Kα (λ = 1.5418 Å).

Atomic structure:
Lattice parameters (Å, degrees): 8.4431 8.4431 7.7877 116.62 116.62 30.25
Fractional coordinates of all 7 atoms:
Ho1 0.0000 0.0000 0.0000
Pu1 0.2636 0.2636 0.2732
Pu2 0.7364 0.7364 0.7268
Te1 0.1191 0.1191 0.4376
Te2 0.3712 0.3712 0.0226
Te3 0.6288 0.6288 0.9774
Te4 0.8809 0.8809 0.5624

The 10 most intense peaks (2θ from 10° to 90°), by angle:
- d = 7.219 Å, 2θ 12.26, I = 29
- d = 3.835 Å, 2θ 23.19, I = 24
- d = 3.400 Å, 2θ 26.21, I = 100
- d = 2.667 Å, 2θ 33.60, I = 23
- d = 2.638 Å, 2θ 33.98, I = 44
- d = 2.627 Å, 2θ 34.13, I = 24
- d = 2.619 Å, 2θ 34.24, I = 48
- d = 2.236 Å, 2θ 40.33, I = 49
- d = 2.203 Å, 2θ 40.96, I = 25
- d = 1.396 Å, 2θ 67.05, I = 20


No. 8
Starting from a DFT-relaxed cell (GGA-PBE, Alexandria), the PXRD pattern of Ho2PuTe4 was computed for Cu Kα (λ = 1.5418 Å).

Atomic structure:
Lattice parameters (Å, degrees): 7.4445 7.4445 14.9122 90.00 90.00 146.33
Fractional coordinates of all 14 atoms:
Ho1 0.1340 0.8660 0.5672
Ho2 0.1340 0.8660 0.9328
Ho3 0.8660 0.1340 0.0672
Ho4 0.8660 0.1340 0.4328
Pu1 0.3808 0.6192 0.7500
Pu2 0.6192 0.3808 0.2500
Te1 0.0438 0.9562 0.7500
Te2 0.2249 0.7751 0.1215
Te3 0.2249 0.7751 0.3785
Te4 0.5000 0.5000 0.0000
Te5 0.5000 0.5000 0.5000
Te6 0.7751 0.2249 0.6215
Te7 0.7751 0.2249 0.8785
Te8 0.9562 0.0438 0.2500

The 10 most intense peaks (2θ from 10° to 90°), by angle:
- d = 4.077 Å, 2θ 21.80, I = 67
- d = 3.303 Å, 2θ 26.99, I = 54
- d = 3.122 Å, 2θ 28.59, I = 100
- d = 2.935 Å, 2θ 30.46, I = 96
- d = 2.417 Å, 2θ 37.19, I = 61
- d = 2.265 Å, 2θ 39.80, I = 36
- d = 2.156 Å, 2θ 41.90, I = 39
- d = 2.144 Å, 2θ 42.15, I = 65
- d = 1.520 Å, 2θ 60.96, I = 30
- d = 1.310 Å, 2θ 72.09, I = 24


No. 9
Starting from a DFT-relaxed cell (GGA-PBE, Alexandria), the PXRD pattern of HoPuTe6 was computed for Cu Kα (λ = 1.5418 Å).

Atomic structure:
Lattice parameters (Å, degrees): 4.3507 13.5415 13.5415 18.48 90.00 90.00
Fractional coordinates of all 8 atoms:
Ho1 0.0000 0.0000 0.0000
Pu1 0.5000 0.3443 0.3443
Te1 0.0000 0.2526 0.2526
Te2 0.0000 0.5925 0.5925
Te3 0.0000 0.8789 0.8789
Te4 0.5000 0.0926 0.0926
Te5 0.5000 0.4654 0.4654
Te6 0.5000 0.7525 0.7525

The 10 most intense peaks (2θ from 10° to 90°), by angle:
- d = 6.683 Å, 2θ 13.25, I = 23
- d = 3.341 Å, 2θ 26.68, I = 39
- d = 3.056 Å, 2θ 29.23, I = 28
- d = 2.907 Å, 2θ 30.75, I = 100
- d = 2.667 Å, 2θ 33.61, I = 51
- d = 2.395 Å, 2θ 37.55, I = 48
- d = 2.175 Å, 2θ 41.52, I = 57
- d = 1.823 Å, 2θ 50.04, I = 28
- d = 1.538 Å, 2θ 60.17, I = 19
- d = 1.359 Å, 2θ 69.09, I = 19


No. 10
Starting from a DFT-relaxed cell (GGA-PBE, Alexandria), the PXRD pattern of Ho3PuTe4 was computed for Cu Kα (λ = 1.5418 Å).

Atomic structure:
Lattice parameters (Å, degrees): 7.5487 7.5487 7.5487 131.85 131.85 70.47
Fractional coordinates of all 8 atoms:
Ho1 0.0000 0.0000 0.0000
Ho2 0.2500 0.7500 0.5000
Ho3 0.7500 0.2500 0.5000
Pu1 0.5000 0.5000 0.0000
Te1 0.0000 0.5000 0.5000
Te2 0.2478 0.2478 0.0000
Te3 0.5000 0.0000 0.5000
Te4 0.7522 0.7522 0.0000

The 10 most intense peaks (2θ from 10° to 90°), by angle:
- d = 5.510 Å, 2θ 16.09, I = 1
- d = 3.557 Å, 2θ 25.03, I = 6
- d = 3.081 Å, 2θ 28.98, I = 100
- d = 2.178 Å, 2θ 41.45, I = 76
- d = 1.858 Å, 2θ 49.04, I = 3
- d = 1.779 Å, 2θ 51.37, I = 27
- d = 1.540 Å, 2θ 60.07, I = 13
- d = 1.413 Å, 2θ 66.10, I = 1
- d = 1.378 Å, 2θ 68.05, I = 35
- d = 1.258 Å, 2θ 75.61, I = 26


No. 11
Starting from a DFT-relaxed cell (GGA-PBE, Alexandria), the PXRD pattern of Ho12PuTh5 was computed for Cu Kα (λ = 1.5418 Å).

Atomic structure:
Lattice parameters (Å, degrees): 7.8608 7.8608 14.9977 90.00 90.00 143.06
Fractional coordinates of all 18 atoms:
Ho1 0.0000 0.0000 0.1617
Ho2 0.0000 0.0000 0.8383
Ho3 0.1668 0.8332 0.3354
Ho4 0.1668 0.8332 0.6646
Ho5 0.3344 0.6656 0.1582
Ho6 0.3344 0.6656 0.8418
Ho7 0.5000 0.5000 0.3360
Ho8 0.5000 0.5000 0.6640
Ho9 0.6656 0.3344 0.1582
Ho10 0.6656 0.3344 0.8418
Ho11 0.8332 0.1668 0.3354
Ho12 0.8332 0.1668 0.6646
Pu1 0.5000 0.5000 0.0000
Th1 0.0000 0.0000 0.5000
Th2 0.1605 0.8395 0.0000
Th3 0.3330 0.6670 0.5000
Th4 0.6670 0.3330 0.5000
Th5 0.8395 0.1605 0.0000

The 10 most intense peaks (2θ from 10° to 90°), by angle:
- d = 2.877 Å, 2θ 31.08, I = 100
- d = 2.500 Å, 2θ 35.93, I = 17
- d = 2.488 Å, 2θ 36.10, I = 34
- d = 1.763 Å, 2θ 51.85, I = 24
- d = 1.759 Å, 2θ 51.98, I = 12
- d = 1.506 Å, 2θ 61.58, I = 14
- d = 1.502 Å, 2θ 61.76, I = 14
- d = 1.500 Å, 2θ 61.87, I = 15
- d = 1.439 Å, 2θ 64.81, I = 12
- d = 1.144 Å, 2θ 84.73, I = 12


No. 12
Starting from a DFT-relaxed cell (GGA-PBE, Alexandria), the PXRD pattern of Ho14PuTh was computed for Cu Kα (λ = 1.5418 Å).

Atomic structure:
Lattice parameters (Å, degrees): 6.8898 6.8898 10.9823 96.47 96.47 74.09
Fractional coordinates of all 16 atoms:
Ho1 0.0000 0.0000 0.0000
Ho2 0.0139 0.4430 0.5221
Ho3 0.0658 0.4813 0.9767
Ho4 0.2384 0.2507 0.2501
Ho5 0.2785 0.6775 0.7696
Ho6 0.3225 0.7215 0.2304
Ho7 0.3240 0.1611 0.7508
Ho8 0.5187 0.9342 0.0233
Ho9 0.5570 0.9861 0.4779
Ho10 0.5898 0.4102 0.0000
Ho11 0.7493 0.7616 0.7499
Ho12 0.7544 0.2001 0.2744
Ho13 0.7999 0.2456 0.7256
Ho14 0.8389 0.6760 0.2492
Pu1 0.4831 0.5169 0.5000
Th1 0.0794 0.9206 0.5000

The 10 most intense peaks (2θ from 10° to 90°), by angle:
- d = 3.070 Å, 2θ 29.09, I = 13
- d = 2.935 Å, 2θ 30.46, I = 51
- d = 2.720 Å, 2θ 32.93, I = 100
- d = 2.625 Å, 2θ 34.16, I = 28
- d = 2.075 Å, 2θ 43.61, I = 14
- d = 1.800 Å, 2θ 50.71, I = 11
- d = 1.651 Å, 2θ 55.68, I = 11
- d = 1.535 Å, 2θ 60.31, I = 15
- d = 1.484 Å, 2θ 62.60, I = 16
- d = 1.424 Å, 2θ 65.57, I = 12


No. 13
Starting from a DFT-relaxed cell (GGA-PBE, Alexandria), the PXRD pattern of HoPuTh was computed for Cu Kα (λ = 1.5418 Å).

Atomic structure:
Lattice parameters (Å, degrees): 3.4450 5.5593 9.3913 90.00 90.00 90.00
Fractional coordinates of all 6 atoms:
Ho1 0.2500 0.2500 0.0916
Ho2 0.7500 0.7500 0.9084
Pu1 0.2500 0.2500 0.7371
Pu2 0.7500 0.7500 0.2629
Th1 0.2500 0.7500 0.5737
Th2 0.7500 0.2500 0.4263

The 10 most intense peaks (2θ from 10° to 90°), by angle:
- d = 3.234 Å, 2θ 27.58, I = 25
- d = 2.796 Å, 2θ 32.02, I = 58
- d = 2.779 Å, 2θ 32.21, I = 93
- d = 2.728 Å, 2θ 32.83, I = 100
- d = 2.485 Å, 2θ 36.15, I = 37
- d = 1.965 Å, 2θ 46.20, I = 28
- d = 1.595 Å, 2θ 57.82, I = 21
- d = 1.581 Å, 2θ 58.37, I = 17
- d = 1.464 Å, 2θ 63.54, I = 16
- d = 1.456 Å, 2θ 63.92, I = 32